# SrGe3Rh5
Simulated X-ray diffraction stick pattern, Cu Kα (λ = 1.5418 Å). Input: the GGA-PBE geometry in Alexandria.

Structure:
```
data_SrGe3Rh5
_cell_length_a 4.0329
_cell_length_b 12.9228
_cell_length_c 12.3340
_cell_angle_alpha 90.00
_cell_angle_beta 90.00
_cell_angle_gamma 90.00
_space_group_name_H-M_alt 'C m c m'
_space_group_IT_number 63
_space_group_name_Hall '-C 2c 2'
loop_
_atom_site_label
_atom_site_fract_x
_atom_site_fract_y
_atom_site_fract_z
_atom_site_occupancy
Sr1 0.0000 0.1695 0.2500 1
Ge1 0.0000 0.1106 0.7500 1
Ge2 0.0000 0.3810 0.5452 1
Rh1 0.0000 0.0000 0.0000 1
Rh2 0.0000 0.1975 0.5671 1
Rh3 0.0000 0.4482 0.1425 1
```

Most intense lines, 10 to 80 degrees two-theta, low angle first:
14.36 deg, intensity 66; 31.85 deg, intensity 100; 37.37 deg, intensity 100; 41.50 deg, intensity 63; 44.13 deg, intensity 78; 44.95 deg, intensity 94